[1]
Computed X-ray diffraction stick pattern of V3RuRh4 for Cu Kα, 1.54184 Å, from a cell relaxed with PBE.
Neutral-atom scattering factors, no anomalous dispersion.

Main lines, by angle (10° ≤ 2θ ≤ 90°):
| 2θ (°) | d/Å | Rel. int. |
| --- | --- | --- |
| 26.47 | 3.367 | 10 |
| 37.72 | 2.385 | 10 |
| 38.46 | 2.341 | 32 |
| 41.81 | 2.161 | 42 |
| 43.34 | 2.088 | 64 |
| 43.99 | 2.058 | 100 |
| 58.10 | 1.588 | 18 |
| 68.59 | 1.368 | 17 |
| 77.40 | 1.233 | 11 |
| 77.87 | 1.227 | 17 |
| 83.66 | 1.156 | 20 |
| 86.06 | 1.130 | 14 |

Structure:
Cell lengths 8.6428, 5.3732, 4.7696 Å; angles 90.00, 90.00, 90.00 degrees
Space group Pmn2_1 (No. 31)
Asymmetric unit:
V1 0.0000 0.1260 0.0000 x2
V2 0.2377 0.6346 0.7008 x4
Ru1 0.0000 0.5901 0.0138 x2
Rh1 0.0000 0.3766 0.5115 x2
Rh2 0.0000 0.8806 0.5268 x2
Rh3 0.2475 0.8685 0.1977 x4

---

[2]
Computed X-ray diffraction stick pattern of LiHg3Sb for Cu Kα, 1.54184 Å, from a cell relaxed with PBE.
Neutral-atom scattering factors, no anomalous dispersion.

Main lines, by angle (10° ≤ 2θ ≤ 90°):
| 2θ (°) | d/Å | Rel. int. |
| --- | --- | --- |
| 27.56 | 3.237 | 28 |
| 28.32 | 3.151 | 100 |
| 28.64 | 3.117 | 11 |
| 28.87 | 3.092 | 11 |
| 33.33 | 2.688 | 22 |
| 37.73 | 2.384 | 41 |
| 38.02 | 2.367 | 18 |
| 39.96 | 2.256 | 12 |
| 43.05 | 2.101 | 21 |
| 47.53 | 1.913 | 25 |
| 48.17 | 1.889 | 15 |
| 71.57 | 1.318 | 11 |

Structure:
Cell lengths 13.2130, 4.8143, 8.2333 Å; angles 90.00, 101.49, 90.00 degrees
Space group P2_1/c (No. 14)
Asymmetric unit:
Li1 0.1876 0.0070 0.2285 x4
Hg1 0.0155 0.2232 0.8728 x4
Hg2 0.2186 0.5106 0.0739 x4
Hg3 0.4459 0.5057 0.8154 x4
Sb1 0.2918 0.0039 0.9298 x4

---

[3]
Computed X-ray diffraction stick pattern of InPbF2 for Cu Kα, 1.54184 Å, from a cell relaxed with PBE.
Neutral-atom scattering factors, no anomalous dispersion.

Main lines, by angle (10° ≤ 2θ ≤ 90°):
| 2θ (°) | d/Å | Rel. int. |
| --- | --- | --- |
| 10.71 | 8.259 | 16 |
| 21.52 | 4.129 | 54 |
| 29.41 | 3.037 | 14 |
| 30.09 | 2.970 | 100 |
| 32.64 | 2.743 | 61 |
| 41.49 | 2.177 | 39 |
| 47.20 | 1.925 | 33 |
| 51.75 | 1.766 | 25 |
| 56.68 | 1.624 | 25 |
| 61.03 | 1.518 | 13 |
| 62.52 | 1.486 | 13 |
| 70.11 | 1.342 | 18 |

Structure:
Cell lengths 3.5329, 3.5329, 24.7767 Å; angles 90.00, 90.00, 120.00 degrees
Space group R-3m (No. 166, hexagonal axes)
Asymmetric unit:
In1 0.0000 0.0000 0.0000 x3
Pb1 0.0000 0.0000 0.5000 x3
F1 0.0000 0.0000 0.4045 x6

---

Which formula does entry 1 have? V3RuRh4